Record 1
The following is a computed XRD peak list of U6Al8Fe5Si9. It was derived from a cell relaxed with PBE, using CuKα.

The 10 most intense peaks (2θ = 10–90°), low angle first:
| two_theta | Rel. int. |
| --- | --- |
| 19.62 | 41.6 |
| 22.20 | 35.5 |
| 22.42 | 38.2 |
| 26.26 | 30.1 |
| 26.44 | 24.0 |
| 30.96 | 56.4 |
| 32.99 | 27.6 |
| 36.92 | 100.0 |
| 41.26 | 24.0 |
| 44.12 | 26.4 |

Crystal structure
```
U6Al8Fe5Si9
1.0
-2.053 6.098 9.050
2.053 -6.098 9.050
2.053 6.098 -9.050
U Al Fe Si
6 8 5 9
Direct
0.128 0.128 0.000 U
0.189 0.875 0.314 U
0.439 0.125 0.314 U
0.561 0.875 0.686 U
0.811 0.125 0.686 U
0.872 0.872 0.000 U
0.149 0.000 0.149 Al
0.265 0.765 0.500 Al
0.336 0.500 0.836 Al
0.385 0.385 0.000 Al
0.615 0.615 0.000 Al
0.664 0.500 0.164 Al
0.735 0.235 0.500 Al
0.851 0.000 0.851 Al
0.000 0.500 0.500 Fe
0.030 0.714 0.315 Fe
0.399 0.714 0.685 Fe
0.601 0.286 0.315 Fe
0.970 0.286 0.685 Fe
0.066 0.411 0.655 Si
0.132 0.262 0.870 Si
0.243 0.589 0.655 Si
0.392 0.262 0.130 Si
0.500 0.000 0.500 Si
0.608 0.738 0.870 Si
0.757 0.411 0.345 Si
0.868 0.738 0.130 Si
0.934 0.589 0.345 Si
```



Record 2
The following is a computed XRD peak list of UAl3Fe7Si2. It was derived from a cell relaxed with PBE, using CuKα.

The 10 most intense peaks (2θ = 10–90°), low angle first:
| two_theta | Rel. int. |
| --- | --- |
| 15.11 | 100.0 |
| 21.61 | 43.5 |
| 30.54 | 45.0 |
| 30.71 | 43.4 |
| 42.93 | 52.6 |
| 43.06 | 44.8 |
| 43.27 | 53.9 |
| 43.62 | 84.8 |
| 43.86 | 48.2 |
| 43.98 | 54.0 |

Crystal structure
```
UAl3Fe7Si2
1.0
5.865 -2.360 0.000
5.865 2.360 0.000
-5.778 0.000 5.967
U Al Fe Si
1 3 7 2
Direct
0.000 0.000 0.000 U
0.009 0.009 0.379 Al
0.351 0.351 0.369 Al
0.647 0.647 0.646 Al
0.278 0.278 0.789 Fe
0.492 0.492 0.225 Fe
0.500 0.500 0.786 Fe
0.510 0.995 0.510 Fe
0.721 0.721 0.222 Fe
0.995 0.510 0.510 Fe
0.999 0.999 0.672 Fe
0.494 0.997 0.001 Si
0.997 0.494 0.001 Si
```



Record 3
The following is a computed XRD peak list of Sm2Al4Fe13. It was derived from a cell relaxed with PBE, using CuKα.

The 10 most intense peaks (2θ = 10–90°), low angle first:
| two_theta | Rel. int. |
| --- | --- |
| 27.91 | 19.0 |
| 29.73 | 35.7 |
| 36.40 | 43.4 |
| 37.35 | 39.3 |
| 42.28 | 47.4 |
| 42.41 | 100.0 |
| 42.80 | 31.5 |
| 43.12 | 17.1 |
| 61.43 | 15.7 |
| 78.13 | 15.4 |

Crystal structure
```
Sm2Al4Fe13
1.0
4.275 2.468 4.226
-4.275 2.468 4.226
0.000 -4.936 4.226
Sm Al Fe
2 4 13
Direct
0.000 0.000 0.000 Sm
0.309 0.309 0.309 Sm
0.167 0.651 0.651 Al
0.651 0.167 0.651 Al
0.651 0.651 0.167 Al
0.746 0.746 0.746 Al
0.312 0.312 0.821 Fe
0.312 0.821 0.312 Fe
0.367 0.657 0.947 Fe
0.367 0.947 0.657 Fe
0.496 0.993 0.993 Fe
0.557 0.557 0.557 Fe
0.657 0.367 0.947 Fe
0.657 0.947 0.367 Fe
0.821 0.312 0.312 Fe
0.947 0.367 0.657 Fe
0.947 0.657 0.367 Fe
0.993 0.496 0.993 Fe
0.993 0.993 0.496 Fe
```



Record 4
The following is a computed XRD peak list of SmAl9Fe3. It was derived from a cell relaxed with PBE, using CuKα.

The 10 most intense peaks (2θ = 10–90°), low angle first:
| two_theta | Rel. int. |
| --- | --- |
| 14.18 | 54.7 |
| 20.27 | 48.6 |
| 28.29 | 25.4 |
| 28.48 | 41.3 |
| 28.57 | 49.4 |
| 35.00 | 40.9 |
| 40.60 | 54.9 |
| 40.67 | 100.0 |
| 40.89 | 59.6 |
| 41.17 | 83.6 |

Crystal structure
```
SmAl9Fe3
1.0
2.532 -6.309 0.000
2.532 6.309 0.000
-2.458 0.000 6.245
Sm Al Fe
1 9 3
Direct
0.000 0.000 0.000 Sm
0.000 0.000 0.500 Al
0.000 0.354 0.338 Al
0.000 0.646 0.662 Al
0.290 0.517 0.785 Al
0.354 0.000 0.338 Al
0.483 0.710 0.215 Al
0.517 0.290 0.785 Al
0.646 0.000 0.662 Al
0.710 0.483 0.215 Al
0.000 0.500 0.000 Fe
0.500 0.000 0.000 Fe
0.500 0.500 0.500 Fe
```



Record 5
The following is a computed XRD peak list of SmAl8Fe4. It was derived from a cell relaxed with PBE, using CuKα.

The 10 most intense peaks (2θ = 10–90°), low angle first:
| two_theta | Rel. int. |
| --- | --- |
| 14.29 | 17.9 |
| 20.26 | 19.4 |
| 28.81 | 41.2 |
| 35.48 | 20.0 |
| 41.19 | 100.0 |
| 46.32 | 12.5 |
| 59.67 | 25.8 |
| 67.59 | 16.4 |
| 75.08 | 20.4 |
| 89.43 | 20.0 |

Crystal structure
```
SmAl8Fe4
1.0
-4.383 4.383 2.530
4.383 -4.383 2.530
4.383 4.383 -2.530
Sm Al Fe
1 8 4
Direct
0.000 0.000 0.000 Sm
0.000 0.341 0.341 Al
0.000 0.659 0.659 Al
0.278 0.500 0.778 Al
0.341 0.000 0.341 Al
0.500 0.278 0.778 Al
0.500 0.722 0.222 Al
0.659 0.000 0.659 Al
0.722 0.500 0.222 Al
0.000 0.000 0.500 Fe
0.000 0.500 0.000 Fe
0.500 0.000 0.000 Fe
0.500 0.500 0.500 Fe
```



Record 6
The following is a computed XRD peak list of Sm2Al2Fe15. It was derived from a cell relaxed with PBE, using CuKα.

The 10 most intense peaks (2θ = 10–90°), low angle first:
| two_theta | Rel. int. |
| --- | --- |
| 29.98 | 40.6 |
| 36.67 | 30.8 |
| 37.68 | 23.8 |
| 42.60 | 52.2 |
| 42.76 | 100.0 |
| 43.23 | 35.9 |
| 43.49 | 16.6 |
| 48.07 | 19.9 |
| 61.95 | 16.6 |
| 62.31 | 20.3 |

Crystal structure
```
Sm2Al2Fe15
1.0
4.244 2.451 4.186
-4.244 2.451 4.186
0.000 -4.901 4.186
Sm Al Fe
2 2 15
Direct
0.153 0.153 0.153 Sm
0.847 0.847 0.847 Sm
0.398 0.398 0.398 Al
0.602 0.602 0.602 Al
0.000 0.500 0.500 Fe
0.159 0.159 0.658 Fe
0.159 0.658 0.159 Fe
0.209 0.500 0.791 Fe
0.209 0.791 0.500 Fe
0.342 0.841 0.841 Fe
0.500 0.000 0.500 Fe
0.500 0.209 0.791 Fe
0.500 0.500 0.000 Fe
0.500 0.791 0.209 Fe
0.658 0.159 0.159 Fe
0.791 0.209 0.500 Fe
0.791 0.500 0.209 Fe
0.841 0.342 0.841 Fe
0.841 0.841 0.342 Fe
```